This entry pairs a crystal structure of BaLiHfBiO6 with its simulated XRD peak list. Radiation: Cu Kα (λ = 1.5418 Å). Structure: a DFT-relaxed cell (PBE, the Materials Project).
Intensities are scaled so that the largest is 1000.

The 8 most intense peaks (10° ≤ 2θ ≤ 90°), in order of rising 2θ:
hkl 2 0 0, 2θ = 21.2°, d = 4.187 Å, rel. 396
hkl 2 2 0, 2θ = 30.2°, d = 2.961 Å, rel. 1000
hkl 4 0 0, 2θ = 43.2°, d = 2.093 Å, rel. 303
hkl 4 2 0, 2θ = 48.6°, d = 1.872 Å, rel. 179
hkl 4 2 2, 2θ = 53.6°, d = 1.709 Å, rel. 418
hkl 4 4 0, 2θ = 62.8°, d = 1.480 Å, rel. 192
hkl 6 2 0, 2θ = 71.2°, d = 1.324 Å, rel. 185
hkl 6 4 2, 2θ = 87.1°, d = 1.119 Å, rel. 230

Cell and atoms:
Lattice parameters (Å, degrees): 8.3736 8.3736 8.3736 90.00 90.00 90.00
Space group F-43m (No. 216)
Asymmetric unit:
Ba 0.0000 0.0000 0.0000
Li 0.0000 0.0000 0.5000
Hf 0.2500 0.2500 0.7500
Bi 0.2500 0.2500 0.2500
O 0.0029 0.2500 0.7500

***

This entry pairs a crystal structure of Mo4Ru with its simulated XRD peak list. Radiation: Cu Kα (λ = 1.5418 Å). Structure: a DFT-relaxed cell (PBE, the Materials Project).
Intensities are scaled so that the largest is 1000.

The 8 most intense peaks (10° ≤ 2θ ≤ 90°), in order of rising 2θ:
hkl 0 2 0, 2θ = 40.4°, d = 2.233 Å, rel. 252
hkl 1 1 5, 2θ = 40.5°, d = 2.227 Å, rel. 1000
hkl 0 0 10, 2θ = 41.1°, d = 2.199 Å, rel. 239
hkl 0 2 10, 2θ = 58.9°, d = 1.567 Å, rel. 159
hkl 2 2 0, 2θ = 73.3°, d = 1.292 Å, rel. 84
hkl 1 3 5, 2θ = 73.5°, d = 1.288 Å, rel. 166
hkl 1 1 15, 2θ = 74.4°, d = 1.275 Å, rel. 158
hkl 2 2 10, 2θ = 87.6°, d = 1.114 Å, rel. 109

Cell and atoms:
Lattice parameters (Å, degrees): 3.1662 4.4665 21.9874 90.00 90.00 90.00
Space group Fmmm (No. 69)
Asymmetric unit:
Mo 0.0000 0.0000 0.0981
Mo 0.0000 0.0000 0.3007
Ru 0.0000 0.0000 0.5000

***

This entry pairs a crystal structure of Dy2In3Cu with its simulated XRD peak list. Radiation: Cu Kα (λ = 1.5418 Å). Structure: a DFT-relaxed cell (PBE, the Materials Project).
Intensities are scaled so that the largest is 1000.

The 8 most intense peaks (10° ≤ 2θ ≤ 90°), in order of rising 2θ:
hkl 1 0 0, 2θ = 26.3°, d = 3.383 Å, rel. 949
hkl 0 1 3, 2θ = 33.3°, d = 2.693 Å, rel. 1000
hkl 0 2 0, 2θ = 33.6°, d = 2.668 Å, rel. 505
hkl 1 1 3, 2θ = 42.9°, d = 2.107 Å, rel. 982
hkl 1 2 0, 2θ = 43.2°, d = 2.095 Å, rel. 500
hkl 0 3 3, 2θ = 59.9°, d = 1.545 Å, rel. 179
hkl 2 1 3, 2θ = 65.1°, d = 1.433 Å, rel. 277
hkl 1 3 3, 2θ = 66.5°, d = 1.405 Å, rel. 259

Cell and atoms:
Lattice parameters (Å, degrees): 3.3834 5.3356 9.3601 90.00 90.00 90.00
Space group Pmm2 (No. 25)
Asymmetric unit:
Dy 0.0000 0.0000 0.0000
Dy 0.0000 0.5000 0.4732
In 0.0000 0.0000 0.6427
In 0.0000 0.5000 0.1577
In 0.0000 0.5000 0.8141
Cu 0.0000 0.0000 0.3165

***

This entry pairs a crystal structure of Sr5Co2N4 with its simulated XRD peak list. Radiation: Cu Kα (λ = 1.5418 Å). Structure: a DFT-relaxed cell (PBE, the Materials Project).
Intensities are scaled so that the largest is 1000.

The 8 most intense peaks (10° ≤ 2θ ≤ 90°), in order of rising 2θ:
hkl 1 1 0, 2θ = 14.4°, d = 6.167 Å, rel. 127
hkl 2 1 2, 2θ = 27.0°, d = 3.306 Å, rel. 310
hkl 0 0 4, 2θ = 28.6°, d = 3.117 Å, rel. 128
hkl 2 1 3, 2θ = 31.5°, d = 2.844 Å, rel. 1000
hkl 3 1 0, 2θ = 32.5°, d = 2.758 Å, rel. 633
hkl 3 1 1, 2θ = 33.3°, d = 2.693 Å, rel. 177
hkl 5 0 2, 2θ = 54.6°, d = 1.680 Å, rel. 172
hkl 5 2 3, 2θ = 61.4°, d = 1.509 Å, rel. 139

Cell and atoms:
Lattice parameters (Å, degrees): 8.7208 8.7208 12.4672 90.00 90.00 90.00
Space group P4/ncc (No. 130, origin choice 2)
Asymmetric unit:
Sr 0.0766 0.6324 0.0988
Sr 0.2500 0.2500 0.1541
Co 0.0911 0.5911 0.7500
N 0.0502 0.6407 0.8872

***

This entry pairs a crystal structure of DyP with its simulated XRD peak list. Radiation: Cu Kα (λ = 1.5418 Å). Structure: a DFT-relaxed cell (PBE, the Materials Project).
Intensities are scaled so that the largest is 1000.

The 8 most intense peaks (10° ≤ 2θ ≤ 90°), in order of rising 2θ:
hkl 1 0 0, 2θ = 25.7°, d = 3.472 Å, rel. 567
hkl 1 1 0, 2θ = 36.6°, d = 2.455 Å, rel. 1000
hkl 1 1 1, 2θ = 45.2°, d = 2.005 Å, rel. 173
hkl 2 0 0, 2θ = 52.7°, d = 1.736 Å, rel. 174
hkl 2 1 0, 2θ = 59.5°, d = 1.553 Å, rel. 233
hkl 2 1 1, 2θ = 65.9°, d = 1.417 Å, rel. 355
hkl 3 0 0, 2θ = 83.5°, d = 1.157 Å, rel. 112
hkl 3 1 0, 2θ = 89.2°, d = 1.098 Å, rel. 165

Cell and atoms:
Lattice parameters (Å, degrees): 3.4721 3.4721 3.4721 90.00 90.00 90.00
Space group Pm-3m (No. 221)
Asymmetric unit:
Dy 0.0000 0.0000 0.0000
P 0.5000 0.5000 0.5000

***

This entry pairs a crystal structure of Ca2AsI with its simulated XRD peak list. Radiation: Cu Kα (λ = 1.5418 Å). Structure: a DFT-relaxed cell (PBE, the Materials Project).
Intensities are scaled so that the largest is 1000.

The 8 most intense peaks (10° ≤ 2θ ≤ 90°), in order of rising 2θ:
hkl 0 0 6, 2θ = 23.7°, d = 3.758 Å, rel. 194
hkl 0 1 2, 2θ = 24.6°, d = 3.613 Å, rel. 256
hkl 1 0 4, 2θ = 28.3°, d = 3.159 Å, rel. 1000
hkl 0 1 8, 2θ = 39.8°, d = 2.266 Å, rel. 319
hkl 1 1 0, 2θ = 41.0°, d = 2.202 Å, rel. 380
hkl 0 2 4, 2θ = 50.5°, d = 1.806 Å, rel. 192
hkl 1 1 12, 2θ = 65.3°, d = 1.429 Å, rel. 142
hkl 2 1 4, 2θ = 67.0°, d = 1.397 Å, rel. 158

Cell and atoms:
Lattice parameters (Å, degrees): 4.4045 4.4045 22.5380 90.00 90.00 120.00
Space group R-3m (No. 166, hexagonal axes)
Asymmetric unit:
Ca 0.0000 0.0000 0.2311
As 0.0000 0.0000 0.5000
I 0.0000 0.0000 0.0000